Nd4SmHg3: theoretical powder diffractogram (Cu Kα (λ = 1.5418 Å)), based on a DFT-relaxed cell (GGA-PBE, Alexandria).
Neutral-atom scattering factors, no anomalous dispersion.

Top 8 peaks for 2θ from 15° to 90°, in order of rising 2θ:
| two_theta | I_rel |
| --- | --- |
| 31.93 | 82 |
| 32.98 | 100 |
| 44.33 | 13 |
| 46.56 | 30 |
| 58.24 | 31 |
| 58.90 | 19 |
| 69.19 | 12 |
| 78.23 | 13 |

Crystal structure
```
Nd4SmHg3
1.0
2.7157 1.5679 9.3090
-2.7157 1.5679 9.3090
0.0000 -3.1358 9.3090
Nd Sm Hg
4 1 3
Direct
0.1125 0.1125 0.1125
0.3693 0.3693 0.3693
0.6307 0.6307 0.6307
0.8875 0.8875 0.8875
0.5000 0.5000 0.5000
0.0000 0.0000 0.0000
0.2349 0.2349 0.2349
0.7651 0.7651 0.7651
```